[1]
The following is a theoretical XRD peak list of Ti2Sb. It was derived from DFT lattice parameters and positions (GGA-PBE), using Cu Kα X-rays.

The 10 most intense peaks (2θ from 10° to 90°), sorted by position:
| 2θ (°) | Rel. int. | (hkl) |
| --- | --- | --- |
| 23.38 | 385 | 1 0 1 |
| 24.10 | 221 | 0 0 4 |
| 29.04 | 262 | 1 0 3 |
| 32.15 | 435 | 1 1 0 |
| 34.43 | 455 | 1 1 2 |
| 36.50 | 268 | 0 0 6 |
| 40.59 | 1000 | 1 1 4 |
| 46.11 | 489 | 2 0 0 |
| 60.19 | 229 | 2 0 6 |
| 81.61 | 240 | 3 1 4 |

Atomic structure:
Lattice parameters (Å, degrees): 3.9369 3.9369 14.7702 90.00 90.00 90.00
Space group I4/mmm (No. 139)
Unique sites:
Ti  0.0000  0.0000  0.1701
Ti  0.0000  0.5000  0.0000
Sb  0.0000  0.0000  0.3599


[2]
The following is a theoretical XRD peak list of TiSb2. It was derived from DFT lattice parameters and positions (GGA-PBE), using Cu Kα X-rays.

The 10 most intense peaks (2θ from 10° to 90°), sorted by position:
| 2θ (°) | Rel. int. | (hkl) |
| --- | --- | --- |
| 30.88 | 169 | 0 0 2 |
| 33.55 | 1000 | 2 1 1 |
| 36.32 | 187 | 1 1 2 |
| 41.12 | 137 | 2 0 2 |
| 42.47 | 243 | 3 1 0 |
| 56.64 | 218 | 2 1 3 |
| 58.76 | 91 | 4 1 1 |
| 63.99 | 114 | 4 0 2 |
| 67.29 | 135 | 3 3 2 |
| 78.24 | 124 | 5 2 1 |

Atomic structure:
Lattice parameters (Å, degrees): 6.7311 6.7311 5.7911 90.00 90.00 90.00
Space group I4/mcm (No. 140)
Unique sites:
Ti  0.0000  0.0000  0.2500
Sb  0.1527  0.3473  0.0000


[3]
The following is a theoretical XRD peak list of Tl7Sb2. It was derived from DFT lattice parameters and positions (GGA-PBE), using Cu Kα X-rays.

The 10 most intense peaks (2θ from 10° to 90°), sorted by position:
| 2θ (°) | Rel. int. | (hkl) |
| --- | --- | --- |
| 23.51 | 23 | 3 1 0 |
| 31.72 | 1000 | 3 3 0 |
| 45.48 | 181 | 6 0 0 |
| 56.51 | 339 | 6 3 3 |
| 63.12 | 59 | 7 4 1 |
| 66.28 | 95 | 6 6 0 |
| 75.35 | 128 | 9 3 0 |
| 81.18 | 19 | 7 7 2 |
| 84.06 | 28 | 6 6 6 |
| 86.92 | 28 | 7 7 4 |

Atomic structure:
Lattice parameters (Å, degrees): 11.9663 11.9663 11.9663 90.00 90.00 90.00
Space group Im-3m (No. 229)
Unique sites:
Tl  0.0000  0.0000  0.0000
Tl  0.0000  0.3499  0.3499
Tl  0.1682  0.1682  0.1682
Sb  0.0000  0.0000  0.3113


[4]
The following is a theoretical XRD peak list of Tl3Sb. It was derived from DFT lattice parameters and positions (GGA-PBE), using Cu Kα X-rays.

The 10 most intense peaks (2θ from 10° to 90°), sorted by position:
| 2θ (°) | Rel. int. | (hkl) |
| --- | --- | --- |
| 17.77 | 32 | 1 0 0 |
| 25.23 | 29 | 1 1 0 |
| 31.03 | 1000 | 1 1 1 |
| 35.98 | 508 | 2 0 0 |
| 51.79 | 363 | 2 2 0 |
| 61.61 | 433 | 3 1 1 |
| 64.67 | 125 | 2 2 2 |
| 76.29 | 59 | 4 0 0 |
| 84.61 | 183 | 3 3 1 |
| 87.35 | 172 | 4 2 0 |

Atomic structure:
Lattice parameters (Å, degrees): 4.9926 4.9926 4.9926 90.00 90.00 90.00
Space group Pm-3m (No. 221)
Unique sites:
Tl  0.0000  0.0000  0.5000
Sb  0.5000  0.5000  0.5000


[5]
The following is a theoretical XRD peak list of TlZn2Sb2. It was derived from DFT lattice parameters and positions (GGA-PBE), using Cu Kα X-rays.

The 10 most intense peaks (2θ from 10° to 90°), sorted by position:
| 2θ (°) | Rel. int. | (hkl) |
| --- | --- | --- |
| 26.23 | 468 | 2 1 1 |
| 28.05 | 688 | 1 1 2 |
| 29.64 | 217 | 2 2 0 |
| 31.81 | 518 | 2 0 2 |
| 33.24 | 1000 | 3 1 0 |
| 43.32 | 465 | 2 1 3 |
| 47.71 | 180 | 4 2 0 |
| 49.19 | 284 | 4 0 2 |
| 51.63 | 299 | 3 3 2 |
| 70.46 | 232 | 5 2 3 |

Atomic structure:
Lattice parameters (Å, degrees): 8.5243 8.5243 7.4891 90.00 90.00 90.00
Space group I4cm (No. 108)
Unique sites:
Tl  0.0000  0.0000  0.0000
Zn  0.1414  0.3586  0.1178
Sb  0.1535  0.3465  0.7620


[6]
The following is a theoretical XRD peak list of Tm3Sb. It was derived from DFT lattice parameters and positions (GGA-PBE), using Cu Kα X-rays.

The 10 most intense peaks (2θ from 10° to 90°), sorted by position:
| 2θ (°) | Rel. int. | (hkl) |
| --- | --- | --- |
| 30.16 | 841 | 3 2 1 |
| 31.05 | 1000 | 3 3 0 |
| 32.79 | 698 | 4 2 0 |
| 33.62 | 839 | 1 4 1 |
| 36.01 | 384 | 2 2 2 |
| 37.54 | 739 | 1 5 0 |
| 52.41 | 217 | 3 2 3 |
| 53.00 | 225 | 5 3 2 |
| 56.35 | 227 | 2 6 2 |
| 62.72 | 208 | 4 6 2 |

Atomic structure:
Lattice parameters (Å, degrees): 12.2140 12.2140 6.1124 90.00 90.00 90.00
Space group P4_2/n (No. 86, origin choice 2)
Unique sites:
Tm  0.0362  0.9237  0.2333
Tm  0.1047  0.2812  0.0364
Tm  0.1416  0.8333  0.7133
Sb  0.0506  0.2927  0.5404


[7]
The following is a theoretical XRD peak list of TmSb3. It was derived from DFT lattice parameters and positions (GGA-PBE), using Cu Kα X-rays.

The 10 most intense peaks (2θ from 10° to 90°), sorted by position:
| 2θ (°) | Rel. int. | (hkl) |
| --- | --- | --- |
| 30.45 | 335 | 0 0 2 |
| 31.78 | 222 | 2 0 0 |
| 35.35 | 1000 | 2 0 1 |
| 44.59 | 173 | 2 0 2 |
| 56.61 | 166 | 2 2 0 |
| 57.34 | 245 | 2 0 3 |
| 63.37 | 41 | 0 0 4 |
| 65.65 | 211 | 2 2 2 |
| 68.53 | 138 | 4 0 1 |
| 84.84 | 79 | 4 0 3 |

Atomic structure:
Lattice parameters (Å, degrees): 6.5033 6.5033 5.8706 90.00 90.00 120.00
Space group P6_3/mmc (No. 194)
Unique sites:
Tm  0.3333  0.6667  0.2500
Sb  0.1740  0.3479  0.7500


[8]
The following is a theoretical XRD peak list of Tm5Sb3. It was derived from DFT lattice parameters and positions (GGA-PBE), using Cu Kα X-rays.

The 10 most intense peaks (2θ from 10° to 90°), sorted by position:
| 2θ (°) | Rel. int. | (hkl) |
| --- | --- | --- |
| 30.50 | 1000 | 1 2 2 |
| 31.23 | 276 | 0 3 1 |
| 31.95 | 369 | 3 0 2 |
| 32.10 | 628 | 3 2 1 |
| 32.59 | 613 | 4 0 1 |
| 33.31 | 948 | 2 2 2 |
| 34.27 | 417 | 1 0 3 |
| 36.43 | 407 | 4 2 0 |
| 39.20 | 366 | 0 4 0 |
| 52.17 | 238 | 6 0 2 |

Atomic structure:
Lattice parameters (Å, degrees): 11.6927 9.1915 8.0549 90.00 90.00 90.00
Space group Pnma (No. 62)
Unique sites:
Tm  0.0048  0.2500  0.0246
Tm  0.0663  0.0592  0.6911
Tm  0.2091  0.7500  0.3432
Tm  0.2287  0.2500  0.3251
Sb  0.0237  0.7500  0.5962
Sb  0.1745  0.5092  0.0636


[9]
The following is a theoretical XRD peak list of TmSb2. It was derived from DFT lattice parameters and positions (GGA-PBE), using Cu Kα X-rays.

The 10 most intense peaks (2θ from 10° to 90°), sorted by position:
| 2θ (°) | Rel. int. | (hkl) |
| --- | --- | --- |
| 29.03 | 226 | 1 1 0 |
| 30.87 | 508 | 0 2 1 |
| 31.36 | 1000 | 1 1 1 |
| 35.29 | 391 | 0 0 3 |
| 37.15 | 427 | 0 2 2 |
| 37.56 | 516 | 1 1 2 |
| 52.31 | 235 | 1 3 1 |
| 56.79 | 203 | 1 1 4 |
| 60.18 | 170 | 2 2 0 |
| 71.72 | 195 | 2 2 3 |

Atomic structure:
Lattice parameters (Å, degrees): 3.5307 6.2610 7.6308 90.00 90.00 90.00
Space group C222 (No. 21)
Unique sites:
Tm  0.0000  0.0000  0.0000
Sb  0.2500  0.2500  0.3210


[10]
The following is a theoretical XRD peak list of Tm5Sb3. It was derived from DFT lattice parameters and positions (GGA-PBE), using Cu Kα X-rays.

The 10 most intense peaks (2θ from 10° to 90°), sorted by position:
| 2θ (°) | Rel. int. | (hkl) |
| --- | --- | --- |
| 28.71 | 153 | 0 0 2 |
| 30.87 | 344 | 2 1 0 |
| 31.03 | 208 | 1 0 2 |
| 34.15 | 1000 | 2 1 1 |
| 35.13 | 480 | 3 0 0 |
| 35.28 | 813 | 1 1 2 |
| 50.64 | 222 | 2 2 2 |
| 54.42 | 265 | 2 1 3 |
| 56.41 | 159 | 4 0 2 |
| 68.20 | 182 | 5 0 2 |

Atomic structure:
Lattice parameters (Å, degrees): 8.8487 8.8487 6.2198 90.00 90.00 120.00
Space group P6_3/mcm (No. 193)
Unique sites:
Tm  0.0000  0.2450  0.2500
Tm  0.3333  0.6667  0.0000
Sb  0.0000  0.3899  0.7500


[11]
The following is a theoretical XRD peak list of TmZrSb. It was derived from DFT lattice parameters and positions (GGA-PBE), using Cu Kα X-rays.

The 10 most intense peaks (2θ from 10° to 90°), sorted by position:
| 2θ (°) | Rel. int. | (hkl) |
| --- | --- | --- |
| 29.66 | 511 | 1 1 0 |
| 31.64 | 991 | 1 1 2 |
| 32.70 | 461 | 0 0 6 |
| 34.47 | 554 | 1 0 5 |
| 37.01 | 1000 | 1 1 4 |
| 42.45 | 738 | 2 0 0 |
| 54.59 | 425 | 2 0 6 |
| 55.78 | 279 | 2 1 5 |
| 71.53 | 315 | 2 2 6 |
| 74.08 | 254 | 3 1 4 |

Atomic structure:
Lattice parameters (Å, degrees): 4.2590 4.2590 16.4333 90.00 90.00 90.00
Space group I4/mmm (No. 139)
Unique sites:
Tm  0.0000  0.0000  0.1757
Zr  0.0000  0.5000  0.0000
Sb  0.0000  0.0000  0.3647


[12]
The following is a theoretical XRD peak list of USb2. It was derived from DFT lattice parameters and positions (GGA-PBE), using Cu Kα X-rays.

The 10 most intense peaks (2θ from 10° to 90°), sorted by position:
| 2θ (°) | Rel. int. | (hkl) |
| --- | --- | --- |
| 23.02 | 378 | 1 0 1 |
| 29.29 | 342 | 1 1 0 |
| 30.83 | 375 | 0 0 3 |
| 31.08 | 669 | 1 1 1 |
| 35.97 | 1000 | 1 1 2 |
| 37.37 | 406 | 1 0 3 |
| 41.90 | 563 | 2 0 0 |
| 52.92 | 329 | 2 0 3 |
| 57.39 | 239 | 2 1 3 |
| 72.67 | 266 | 3 1 2 |

Atomic structure:
Lattice parameters (Å, degrees): 4.3118 4.3118 8.6997 90.00 90.00 90.00
Space group P4/nmm (No. 129, origin choice 2)
Unique sites:
U  0.2500  0.2500  0.2185
Sb  0.2500  0.2500  0.8568
Sb  0.2500  0.7500  0.5000


[13]
The following is a theoretical XRD peak list of USb. It was derived from DFT lattice parameters and positions (GGA-PBE), using Cu Kα X-rays.

The 10 most intense peaks (2θ from 10° to 90°), sorted by position:
| 2θ (°) | Rel. int. | (hkl) |
| --- | --- | --- |
| 23.86 | 107 | 1 0 0 |
| 33.99 | 1000 | 1 1 0 |
| 41.96 | 36 | 1 1 1 |
| 48.84 | 182 | 2 0 0 |
| 55.06 | 52 | 2 1 0 |
| 60.83 | 382 | 2 1 1 |
| 71.55 | 120 | 2 2 0 |
| 76.64 | 28 | 3 0 0 |
| 81.63 | 173 | 3 1 0 |
| 86.55 | 18 | 3 1 1 |

Atomic structure:
Lattice parameters (Å, degrees): 3.7298 3.7298 3.7298 90.00 90.00 90.00
Space group Pm-3m (No. 221)
Unique sites:
U  0.0000  0.0000  0.0000
Sb  0.5000  0.5000  0.5000